The following is a simulated PXRD pattern of ErBH4. It was derived from a structure optimized by DFT (PBE), using Cu Kα.
Intensities are scaled so that the largest is 1000.

a = 4.018 Å, b = 11.817 Å, c = 5.625 Å
α = 90.00°, β = 90.00°, γ = 90.00°
Space group Imm2 (No. 44)
Symmetry-distinct sites (fractional):
Er 0.000 0.000 0.000 [2 per cell]
Er 0.000 0.336 0.991 [4 per cell]
B 0.000 0.000 0.489 [2 per cell]
B 0.000 0.335 0.492 [4 per cell]
H 0.000 0.092 0.359 [4 per cell]
H 0.000 0.242 0.609 [4 per cell]
H 0.000 0.420 0.630 [4 per cell]
H 0.243 0.164 0.862 [8 per cell]
H 0.245 0.500 0.126 [4 per cell]

Principal peaks in the range 10° ≤ 2θ ≤ 90°, in order of falling intensity:
Position (°2θ), I (rel.)
31.81, 1000
27.27, 782
27.65, 758
45.61, 490
53.75, 261
54.38, 251
75.59, 219
56.27, 132
53.96, 128
45.13, 127
54.17, 127
57.09, 125